Entry 1:
TbHo5In2: simulated PXRD pattern (Cu Kα X-rays), based on a cell relaxed with PBE.
Neutral-atom scattering factors, no anomalous dispersion.

abc: 3.543 10.482 12.671
angles: 90.00 90.00 90.00
Space group Immm (No. 71)
Asymmetric unit:
1 Tb 0.000 0.000 0.000 x2
2 Ho 0.000 0.228 0.366 x8
3 Ho 0.000 0.500 0.000 x2
4 In 0.000 0.500 0.260 x4

Peak list (10 most intense, 2θ from 10° to 90°, sorted by position)
2θ/deg, I/Imax, hkl
31.28, 56, 1 2 1
33.03, 100, 0 2 4
34.22, 26, 0 4 0
36.10, 9, 1 3 0
48.27, 21, 1 4 3
51.60, 10, 2 0 0
58.91, 8, 1 5 4
60.05, 17, 1 2 7
62.65, 20, 2 2 4
63.38, 9, 2 4 0

Entry 2:
Tb3HoIn3: simulated PXRD pattern (Cu Kα X-rays), based on a cell relaxed with PBE.
Neutral-atom scattering factors, no anomalous dispersion.

abc: 9.330 9.330 9.330
angles: 90.00 90.00 90.00
Space group P2_13 (No. 198)
Asymmetric unit:
1 Tb 0.072 0.428 0.572 x4
2 Tb 0.175 0.175 0.175 x4
3 Tb 0.175 0.825 0.325 x4
4 Ho 0.077 0.577 0.923 x4
5 In 0.001 0.253 0.873 x12

Peak list (10 most intense, 2θ from 10° to 90°, sorted by position)
2θ/deg, I/Imax, hkl
30.29, 100, 3 0 1
36.02, 74, 3 1 2
43.37, 9, 4 2 0
45.60, 7, 3 3 2
47.76, 20, 4 2 2
49.84, 22, 4 3 1
61.24, 26, 6 1 1
63.01, 12, 6 0 2
64.75, 15, 5 4 1
74.77, 13, 5 5 2

Entry 3:
Tb8Ho3In4: simulated PXRD pattern (Cu Kα X-rays), based on a cell relaxed with PBE.
Neutral-atom scattering factors, no anomalous dispersion.

abc: 12.944 12.696 6.562
angles: 90.00 119.89 90.00
Space group C2/m (No. 12)
Asymmetric unit:
1 Tb 0.000 0.144 0.000 x4
2 Tb 0.000 0.240 0.500 x4
3 Tb 0.230 0.000 0.977 x4
4 Tb 0.240 0.000 0.493 x4
5 Ho 0.000 0.500 0.500 x2
6 Ho 0.250 0.250 0.000 x4
7 In 0.000 0.000 0.500 x2
8 In 0.000 0.500 0.000 x2
9 In 0.250 0.250 0.500 x4

Peak list (10 most intense, 2θ from 10° to 90°, sorted by position)
2θ/deg, I/Imax, hkl
28.11, 64, 0 4 0
31.45, 90, 0 0 2
31.73, 88, 4 0 -2
31.91, 100, 4 0 0
32.34, 39, 2 4 -1
42.69, 42, 0 4 2
42.90, 40, 4 4 -2
43.03, 40, 4 4 0
56.92, 20, 8 0 -2
67.80, 33, 4 8 -2

Entry 4:
TbHo7In4: simulated PXRD pattern (Cu Kα X-rays), based on a cell relaxed with PBE.
Neutral-atom scattering factors, no anomalous dispersion.

abc: 14.463 5.638 10.403
angles: 90.00 123.79 90.00
Space group C2/m (No. 12)
Asymmetric unit:
1 Tb 0.000 0.000 0.000 x2
2 Ho 0.000 0.500 0.000 x2
3 Ho 0.064 0.000 0.397 x4
4 Ho 0.211 0.000 0.877 x4
5 Ho 0.221 0.500 0.663 x4
6 In 0.060 0.500 0.756 x4
7 In 0.181 0.500 0.335 x4

Peak list (10 most intense, 2θ from 10° to 90°, sorted by position)
2θ/deg, I/Imax, hkl
28.61, 55, 4 0 -3
29.73, 19, 4 0 0
30.08, 60, 1 1 2
30.69, 47, 3 1 -3
31.51, 24, 2 0 2
31.74, 100, 0 2 0
33.44, 40, 3 1 1
36.43, 84, 5 1 -1
43.25, 36, 4 2 -3
59.64, 20, 5 3 -1

Entry 5:
Tb2Ho7In: simulated PXRD pattern (Cu Kα X-rays), based on a cell relaxed with PBE.
Neutral-atom scattering factors, no anomalous dispersion.

abc: 8.638 16.246 5.268
angles: 90.00 90.00 90.00
Space group Cmmm (No. 65)
Asymmetric unit:
1 Tb 0.000 0.207 0.000 x4
2 Ho 0.000 0.000 0.000 x2
3 Ho 0.000 0.300 0.500 x4
4 Ho 0.177 0.395 0.000 x8
5 In 0.000 0.500 0.500 x2

Peak list (10 most intense, 2θ from 10° to 90°, sorted by position)
2θ/deg, I/Imax, hkl
11.60, 12, 1 1 0
16.83, 32, 0 0 1
20.53, 22, 2 0 0
30.21, 26, 2 4 0
34.04, 100, 0 0 2
35.97, 39, 3 1 1
39.31, 15, 2 6 0
46.14, 16, 2 4 2
60.92, 14, 1 5 3
63.49, 16, 5 5 1

Entry 6:
Tb5Ho2In2: simulated PXRD pattern (Cu Kα X-rays), based on a cell relaxed with PBE.
Neutral-atom scattering factors, no anomalous dispersion.

abc: 15.903 10.491 6.542
angles: 90.00 90.00 90.00
Space group Ima2 (No. 46)
Asymmetric unit:
1 Tb 0.055 0.244 0.000 x8
2 Tb 0.151 0.694 0.358 x8
3 Tb 0.250 0.112 0.006 x4
4 Ho 0.000 0.000 0.701 x4
5 Ho 0.250 0.017 0.513 x4
6 In 0.088 0.528 0.738 x8

Peak list (10 most intense, 2θ from 10° to 90°, sorted by position)
2θ/deg, I/Imax, hkl
27.58, 31, 4 1 1
28.95, 39, 0 3 1
29.14, 39, 1 1 2
29.34, 66, 5 1 0
30.63, 32, 3 3 0
32.25, 34, 0 2 2
34.21, 100, 0 4 0
35.54, 25, 4 0 2
36.89, 34, 4 3 1
37.61, 26, 6 1 1

Entry 7:
TbHo4In4: simulated PXRD pattern (Cu Kα X-rays), based on a cell relaxed with PBE.
Neutral-atom scattering factors, no anomalous dispersion.

abc: 7.175 7.175 10.563
angles: 90.00 90.00 90.00
Space group P4_2/nmc (No. 137, origin choice 2)
Asymmetric unit:
1 Tb 0.250 0.750 0.250 x2
2 Ho 0.021 0.250 0.166 x8
3 In 0.030 0.250 0.465 x8

Peak list (10 most intense, 2θ from 10° to 90°, sorted by position)
2θ/deg, I/Imax, hkl
20.88, 16, 1 0 2
28.23, 14, 1 0 3
29.09, 95, 2 1 1
35.39, 42, 2 2 0
35.73, 100, 2 0 3
36.25, 27, 1 0 4
44.43, 15, 2 1 4
50.91, 25, 4 0 0
58.04, 20, 3 2 4
63.75, 30, 4 2 3

Entry 8:
Tb4Ho2In: simulated PXRD pattern (Cu Kα X-rays), based on a cell relaxed with PBE.
Neutral-atom scattering factors, no anomalous dispersion.

abc: 10.157 21.826 7.895
angles: 90.00 90.00 90.00
Space group Fdd2 (No. 43)
Asymmetric unit:
1 Tb 0.013 0.419 0.000 x16
2 Tb 0.037 0.115 0.079 x16
3 Ho 0.035 0.238 0.423 x16
4 In 0.000 0.000 0.845 x8

Peak list (10 most intense, 2θ from 10° to 90°, sorted by position)
2θ/deg, I/Imax, hkl
28.64, 74, 2 0 2
30.22, 56, 2 6 0
31.26, 56, 3 3 1
32.10, 68, 1 7 1
33.10, 100, 2 4 2
33.50, 47, 0 6 2
35.37, 54, 4 0 0
35.47, 35, 1 1 3
49.49, 21, 4 6 2
57.46, 21, 5 1 3

Entry 9:
Tb4HoIn: simulated PXRD pattern (Cu Kα X-rays), based on a cell relaxed with PBE.
Neutral-atom scattering factors, no anomalous dispersion.

abc: 5.423 12.151 11.092
angles: 90.00 90.00 90.00
Space group Cmc2_1 (No. 36)
Asymmetric unit:
1 Tb 0.000 0.001 0.000 x4
2 Tb 0.000 0.180 0.748 x4
3 Tb 0.000 0.321 0.031 x4
4 Tb 0.000 0.480 0.747 x4
5 Ho 0.000 0.322 0.466 x4
6 In 0.000 0.151 0.251 x4

Peak list (10 most intense, 2θ from 10° to 90°, sorted by position)
2θ/deg, I/Imax, hkl
30.17, 9, 1 1 3
31.95, 100, 1 3 2
32.28, 22, 0 0 4
33.04, 26, 2 0 0
44.75, 11, 0 6 0
46.86, 15, 2 0 4
56.25, 8, 0 6 4
56.74, 8, 2 6 0
57.36, 12, 1 3 6
58.32, 19, 3 3 2

Entry 10:
TbHo2In2: simulated PXRD pattern (Cu Kα X-rays), based on a cell relaxed with PBE.
Neutral-atom scattering factors, no anomalous dispersion.

abc: 3.739 5.338 13.961
angles: 90.00 97.71 90.00
Space group P2_1/m (No. 11)
Asymmetric unit:
1 Tb 0.148 0.250 0.298 x2
2 Ho 0.048 0.750 0.096 x2
3 Ho 0.237 0.750 0.474 x2
4 In 0.357 0.250 0.713 x2
5 In 0.450 0.750 0.901 x2

Peak list (10 most intense, 2θ from 10° to 90°, sorted by position)
2θ/deg, I/Imax, hkl
32.35, 24, 0 0 5
33.44, 100, 1 1 2
33.58, 26, 0 2 0
47.32, 16, 0 2 5
48.71, 9, 2 0 -1
58.40, 14, 1 1 -8
59.70, 8, 2 0 -6
59.95, 18, 1 3 2
60.46, 9, 2 2 -1
70.26, 11, 2 2 -6

Entry 11:
Tb15Ho4In: simulated PXRD pattern (Cu Kα X-rays), based on a cell relaxed with PBE.
Neutral-atom scattering factors, no anomalous dispersion.

abc: 4.973 4.973 25.164
angles: 90.00 90.00 90.00
Space group P4/mmm (No. 123)
Asymmetric unit:
1 Tb 0.000 0.000 0.000 x1
2 Tb 0.000 0.000 0.196 x2
3 Tb 0.000 0.000 0.399 x2
4 Tb 0.000 0.500 0.097 x4
5 Tb 0.000 0.500 0.298 x4
6 Tb 0.000 0.500 0.500 x2
7 Ho 0.500 0.500 0.198 x2
8 Ho 0.500 0.500 0.399 x2
9 In 0.500 0.500 0.000 x1

Peak list (10 most intense, 2θ from 10° to 90°, sorted by position)
2θ/deg, I/Imax, hkl
31.02, 100, 1 1 5
35.68, 17, 0 0 10
36.12, 33, 2 0 0
51.68, 24, 2 0 10
52.01, 12, 2 2 0
61.21, 14, 1 1 15
61.80, 28, 3 1 5
64.67, 12, 2 2 10
84.43, 11, 3 1 15
84.95, 6, 3 3 5

Entry 12:
Tb8Ho3In2: simulated PXRD pattern (Cu Kα X-rays), based on a cell relaxed with PBE.
Neutral-atom scattering factors, no anomalous dispersion.

abc: 8.193 5.543 10.070
angles: 90.00 113.97 90.00
Space group P2/m (No. 10)
Asymmetric unit:
1 Tb 0.089 0.000 0.266 x2
2 Tb 0.177 0.500 0.854 x2
3 Tb 0.323 0.000 0.733 x2
4 Tb 0.371 0.500 0.241 x2
5 Ho 0.203 0.500 0.500 x2
6 Ho 0.500 0.000 0.500 x1
7 In 0.269 0.000 0.036 x2

Peak list (10 most intense, 2θ from 10° to 90°, sorted by position)
2θ/deg, I/Imax, hkl
23.77, 15, 2 0 -2
31.14, 39, 1 1 2
32.30, 38, 0 2 0
33.16, 13, 3 0 -1
33.44, 100, 2 1 1
39.16, 9, 0 0 4
46.97, 10, 3 2 -1
58.34, 20, 2 3 1
64.47, 13, 5 1 0
66.31, 13, 3 2 3